[1]
The following is a computed powder diffractogram of Ho3Sb5O12. It was derived from a structure optimized by DFT (GGA-PBE), using a wavelength of 1.5418 Å.

The 8 most intense peaks (10° ≤ 2θ ≤ 80°), by intensity:
d/Å  I/Imax
3.143  100
1.924  42
1.641  38
2.722  35
7.698  17
1.249  12
1.217  11
1.571  9

Lattice parameters (Å, degrees): 10.8860 10.8860 10.8860 90.00 90.00 90.00
Space group I-43m (No. 217)
Unique sites:
Ho1 0.0000 0.2500 0.5000 x12
Sb1 0.0000 0.0000 0.2840 x12
Sb2 0.2422 0.2422 0.2422 x8
O1 0.1010 0.1010 0.3981 x24
O2 0.1390 0.1390 0.6591 x24



[2]
The following is a computed powder diffractogram of NaPrSe2O8. It was derived from a structure optimized by DFT (GGA-PBE), using a wavelength of 1.5418 Å.

The 8 most intense peaks (10° ≤ 2θ ≤ 80°), by intensity:
d/Å  I/Imax
3.664  100
3.575  74
3.038  59
5.584  54
3.002  43
6.664  42
2.792  32
2.291  30

Lattice parameters (Å, degrees): 6.7138 7.2429 7.4779 80.82 83.05 89.78
Space group P-1 (No. 2)
Unique sites:
Na1 0.0678 0.1897 0.2243 x2
Pr1 0.3563 0.6936 0.3020 x2
Se1 0.1332 0.3144 0.7155 x2
Se2 0.4316 0.7851 0.7886 x2
O1 0.0084 0.8515 0.3438 x2
O2 0.0345 0.5167 0.2616 x2
O3 0.2551 0.2400 0.8934 x2
O4 0.2785 0.7949 0.9806 x2
O5 0.2881 0.7876 0.6203 x2
O6 0.3235 0.3883 0.5491 x2
O7 0.4052 0.0345 0.2591 x2
O8 0.4317 0.4069 0.1829 x2



[3]
The following is a computed powder diffractogram of Ba4Nd2Cd3Se10. It was derived from a structure optimized by DFT (GGA-PBE), using a wavelength of 1.5418 Å.

The 8 most intense peaks (10° ≤ 2θ ≤ 80°), by intensity:
d/Å  I/Imax
3.162  100
3.120  59
2.201  35
2.675  30
1.799  23
2.209  23
1.940  22
2.347  17

Lattice parameters (Å, degrees): 4.4025 19.1996 28.0545 90.00 90.00 90.00
Space group Cmc2_1 (No. 36)
Unique sites:
Ba1 0.0000 0.0751 0.0000 x4
Ba2 0.0000 0.0942 0.8187 x4
Ba3 0.0000 0.3341 0.0480 x4
Ba4 0.0000 0.3344 0.7654 x4
Nd1 0.0000 0.0030 0.6579 x4
Nd2 0.0000 0.4175 0.9038 x4
Cd1 0.0000 0.2853 0.4262 x4
Cd2 0.0000 0.3443 0.1963 x4
Cd3 0.0000 0.3518 0.6124 x4
Se1 0.0000 0.0792 0.3330 x4
Se2 0.0000 0.0925 0.4759 x4
Se3 0.0000 0.1541 0.1674 x4
Se4 0.0000 0.1564 0.6391 x4
Se5 0.0000 0.2627 0.8883 x4
Se6 0.0000 0.2901 0.2802 x4
Se7 0.0000 0.2933 0.5260 x4
Se8 0.0000 0.4281 0.4099 x4
Se9 0.0000 0.4846 0.2279 x4
Se10 0.0000 0.4904 0.5836 x4



[4]
The following is a computed powder diffractogram of Tb4In5S13. It was derived from a structure optimized by DFT (GGA-PBE), using a wavelength of 1.5418 Å.

The 8 most intense peaks (10° ≤ 2θ ≤ 80°), by intensity:
d/Å  I/Imax
3.470  100
3.581  61
3.284  42
2.753  35
2.593  35
2.046  32
3.494  31
2.233  27

Lattice parameters (Å, degrees): 11.8986 21.4876 3.8881 90.00 90.00 90.00
Space group Pbam (No. 55)
Unique sites:
Tb1 0.0149 0.1708 0.0000 x4
Tb2 0.1705 0.3405 0.0000 x4
In1 0.0000 0.5000 0.0000 x2
In2 0.1553 0.9930 0.5000 x4
In3 0.1557 0.6708 0.5000 x4
S1 0.0000 0.0000 0.0000 x2
S2 0.0051 0.4056 0.5000 x4
S3 0.0792 0.2605 0.5000 x4
S4 0.1521 0.8661 0.5000 x4
S5 0.1566 0.1147 0.5000 x4
S6 0.1677 0.7424 0.0000 x4
S7 0.2032 0.4739 0.0000 x4